Diffraction record for As3Pb. The X-ray powder pattern is theoretical, not measured: it uses a structure optimized by DFT (PBE) and a wavelength of 1.5418 Å.
Peak positions follow from Bragg's law for the DFT cell and can differ from measured ones.

Structure:
```
data_As3Pb
_chemical_formula_sum 'As6 Pb2'
_cell_length_a 6.9457
_cell_length_b 6.9457
_cell_length_c 4.4889
_cell_angle_alpha 90.00
_cell_angle_beta 90.00
_cell_angle_gamma 120.00
_symmetry_space_group_name_H-M 'P 63/m m c'
_symmetry_Int_Tables_number 194
_symmetry_space_group_name_Hall '-P 6c 2c'
loop_
_atom_site_label
_atom_site_type_symbol
_atom_site_fract_x
_atom_site_fract_y
_atom_site_fract_z
As1 As 0.1424 0.2847 0.2500
Pb1 Pb 0.3333 0.6667 0.7500
```

Peak list (10 most intense, 15° ≤ 2θ ≤ 90°, by angle)
- (1 0 1), d 3.598, I 34
- (1 1 0), d 3.473, I 18
- (2 0 0), d 3.008, I 27
- (2 0 1), d 2.499, I 100
- (0 0 2), d 2.244, I 18
- (2 0 2), d 1.799, I 12
- (2 2 0), d 1.736, I 18
- (4 0 1), d 1.426, I 12
- (2 2 2), d 1.373, I 17
- (2 0 3), d 1.340, I 15

Diffraction record for LaPr5Sm8. The X-ray powder pattern is theoretical, not measured: it uses a structure optimized by DFT (PBE) and a wavelength of 1.5418 Å.
Peak positions follow from Bragg's law for the DFT cell and can differ from measured ones.

Structure:
```
data_LaPr5Sm8
_chemical_formula_sum 'La2 Pr10 Sm16'
_cell_length_a 17.8321
_cell_length_b 3.6148
_cell_length_c 17.2341
_cell_angle_alpha 90.00
_cell_angle_beta 118.07
_cell_angle_gamma 90.00
_symmetry_space_group_name_H-M 'C 1 m 1'
_symmetry_Int_Tables_number 8
_symmetry_space_group_name_Hall 'C -2y'
loop_
_atom_site_label
_atom_site_type_symbol
_atom_site_fract_x
_atom_site_fract_y
_atom_site_fract_z
La1 La 0.0000 0.0000 0.0000
Pr1 Pr 0.0004 0.5000 0.5000
Pr2 Pr 0.1454 0.0000 0.4393
Pr3 Pr 0.2141 0.0000 0.1442
Pr4 Pr 0.2860 0.5000 0.8558
Pr5 Pr 0.3553 0.5000 0.5607
Sm1 Sm 0.0780 0.5000 0.2220
Sm2 Sm 0.0791 0.0000 0.7214
Sm3 Sm 0.1465 0.5000 0.9386
Sm4 Sm 0.2153 0.5000 0.6450
Sm5 Sm 0.2854 0.0000 0.3550
Sm6 Sm 0.3535 0.0000 0.0614
Sm7 Sm 0.4213 0.5000 0.2786
Sm8 Sm 0.4223 0.0000 0.7780
```

Peak list (10 most intense, 15° ≤ 2θ ≤ 90°, by angle)
- (1 1 -3), d 3.047, I 39
- (6 0 -2), d 2.942, I 53
- (2 0 4), d 2.928, I 100
- (4 0 -6), d 2.818, I 46
- (3 1 1), d 2.784, I 44
- (5 1 1), d 2.228, I 15
- (1 1 -7), d 1.943, I 19
- (0 2 0), d 1.807, I 16
- (6 2 -2), d 1.540, I 15
- (4 2 -6), d 1.521, I 15

Diffraction record for GeOsRu. The X-ray powder pattern is theoretical, not measured: it uses a structure optimized by DFT (PBE) and a wavelength of 1.5418 Å.
Peak positions follow from Bragg's law for the DFT cell and can differ from measured ones.

Structure:
```
data_GeOsRu
_chemical_formula_sum 'Ge2 Os2 Ru2'
_cell_length_a 2.9412
_cell_length_b 2.9412
_cell_length_c 9.8171
_cell_angle_alpha 90.00
_cell_angle_beta 90.00
_cell_angle_gamma 90.00
_symmetry_space_group_name_H-M 'I 4 m m'
_symmetry_Int_Tables_number 107
_symmetry_space_group_name_Hall 'I 4 -2'
loop_
_atom_site_label
_atom_site_type_symbol
_atom_site_fract_x
_atom_site_fract_y
_atom_site_fract_z
Ge1 Ge 0.0000 0.0000 0.0000
Os1 Os 0.0000 0.0000 0.3430
Ru1 Ru 0.0000 0.0000 0.6558
```

Peak list (10 most intense, 15° ≤ 2θ ≤ 90°, by angle)
- (0 0 2), d 4.909, I 10
- (1 0 1), d 2.817, I 19
- (1 0 3), d 2.187, I 100
- (1 1 0), d 2.080, I 44
- (0 0 6), d 1.636, I 9
- (1 1 4), d 1.587, I 6
- (2 0 0), d 1.471, I 14
- (1 1 6), d 1.286, I 17
- (2 1 3), d 1.220, I 30
- (2 0 6), d 1.094, I 12

Diffraction record for Mg2In3Ni3. The X-ray powder pattern is theoretical, not measured: it uses a structure optimized by DFT (PBE) and a wavelength of 1.5418 Å.
Peak positions follow from Bragg's law for the DFT cell and can differ from measured ones.

Structure:
```
data_Mg2In3Ni3
_chemical_formula_sum 'Mg4 In6 Ni6'
_cell_length_a 7.5655
_cell_length_b 7.5655
_cell_length_c 5.5660
_cell_angle_alpha 90.00
_cell_angle_beta 90.00
_cell_angle_gamma 120.00
_symmetry_space_group_name_H-M 'P 63/m c m'
_symmetry_Int_Tables_number 193
_symmetry_space_group_name_Hall '-P 6c 2'
loop_
_atom_site_label
_atom_site_type_symbol
_atom_site_fract_x
_atom_site_fract_y
_atom_site_fract_z
Mg1 Mg 0.3333 0.6667 0.0000
In1 In 0.0000 0.2564 0.2500
Ni1 Ni 0.0000 0.3943 0.7500
```

Peak list (10 most intense, 15° ≤ 2θ ≤ 90°, by angle)
- (1 1 0), d 3.783, I 28
- (1 1 1), d 3.129, I 13
- (0 0 2), d 2.783, I 40
- (2 1 0), d 2.476, I 14
- (2 1 1), d 2.263, I 100
- (1 1 2), d 2.242, I 36
- (3 0 0), d 2.184, I 24
- (2 1 3), d 1.485, I 25
- (3 2 1), d 1.451, I 15
- (4 0 2), d 1.412, I 12

Diffraction record for Pr12TlPd5. The X-ray powder pattern is theoretical, not measured: it uses a structure optimized by DFT (PBE) and a wavelength of 1.5418 Å.
Peak positions follow from Bragg's law for the DFT cell and can differ from measured ones.

Structure:
```
data_Pr12TlPd5
_chemical_formula_sum 'Pr24 Tl2 Pd10'
_cell_length_a 9.8259
_cell_length_b 10.1990
_cell_length_c 10.7345
_cell_angle_alpha 90.00
_cell_angle_beta 90.00
_cell_angle_gamma 90.00
_symmetry_space_group_name_H-M 'I m m m'
_symmetry_Int_Tables_number 71
_symmetry_space_group_name_Hall '-I 2 2'
loop_
_atom_site_label
_atom_site_type_symbol
_atom_site_fract_x
_atom_site_fract_y
_atom_site_fract_z
Pr1 Pr 0.0000 0.1882 0.2228
Pr2 Pr 0.1982 0.5000 0.1743
Pr3 Pr 0.2117 0.3213 0.5000
Tl1 Tl 0.0000 0.0000 0.5000
Pd1 Pd 0.0000 0.0000 0.0000
Pd2 Pd 0.0000 0.3549 0.0000
Pd3 Pd 0.0000 0.5000 0.3700
```

Peak list (10 most intense, 15° ≤ 2θ ≤ 90°, by angle)
- (0 3 1), d 3.241, I 18
- (3 1 0), d 3.118, I 26
- (2 2 2), d 2.954, I 100
- (2 1 3), d 2.783, I 80
- (1 3 2), d 2.757, I 90
- (2 3 1), d 2.705, I 41
- (3 2 1), d 2.669, I 35
- (4 0 0), d 2.456, I 33
- (2 5 3), d 1.667, I 23
- (5 3 2), d 1.622, I 41

Diffraction record for CsNa2CaGe. The X-ray powder pattern is theoretical, not measured: it uses a structure optimized by DFT (PBE) and a wavelength of 1.5418 Å.
Peak positions follow from Bragg's law for the DFT cell and can differ from measured ones.

Structure:
```
data_CsNa2CaGe
_chemical_formula_sum 'Cs1 Na2 Ca1 Ge1'
_cell_length_a 6.0608
_cell_length_b 6.0608
_cell_length_c 5.8565
_cell_angle_alpha 90.00
_cell_angle_beta 90.00
_cell_angle_gamma 90.00
_symmetry_space_group_name_H-M 'P 4/m m m'
_symmetry_Int_Tables_number 123
_symmetry_space_group_name_Hall '-P 4 2'
loop_
_atom_site_label
_atom_site_type_symbol
_atom_site_fract_x
_atom_site_fract_y
_atom_site_fract_z
Cs1 Cs 0.0000 0.0000 0.0000
Na1 Na 0.0000 0.5000 0.5000
Ca1 Ca 0.5000 0.5000 0.0000
Ge1 Ge 0.5000 0.5000 0.5000
```

Peak list (10 most intense, 15° ≤ 2θ ≤ 90°, by angle)
- (1 1 0), d 4.286, I 80
- (1 0 1), d 4.212, I 100
- (1 1 1), d 3.459, I 51
- (2 0 0), d 3.030, I 74
- (0 0 2), d 2.928, I 34
- (2 1 1), d 2.460, I 49
- (1 1 2), d 2.418, I 35
- (2 2 0), d 2.143, I 27
- (2 0 2), d 2.106, I 51
- (2 2 2), d 1.729, I 27

Diffraction record for CsHgPb2Br8. The X-ray powder pattern is theoretical, not measured: it uses a structure optimized by DFT (PBE) and a wavelength of 1.5418 Å.
Peak positions follow from Bragg's law for the DFT cell and can differ from measured ones.

Structure:
```
data_CsHgPb2Br8
_chemical_formula_sum 'Cs1 Hg1 Pb2 Br8'
_cell_length_a 5.7632
_cell_length_b 8.6165
_cell_length_c 9.9649
_cell_angle_alpha 95.79
_cell_angle_beta 105.57
_cell_angle_gamma 93.89
_symmetry_space_group_name_H-M 'P -1'
_symmetry_Int_Tables_number 2
_symmetry_space_group_name_Hall '-P 1'
loop_
_atom_site_label
_atom_site_type_symbol
_atom_site_fract_x
_atom_site_fract_y
_atom_site_fract_z
Cs1 Cs 0.0000 0.0000 0.0000
Hg1 Hg 0.0000 0.0000 0.5000
Pb1 Pb 0.3124 0.5471 0.7037
Br1 Br 0.0963 0.8043 0.3286
Br2 Br 0.2016 0.3818 0.3940
Br3 Br 0.2494 0.5022 0.0036
Br4 Br 0.3899 0.8772 0.7713
```

Peak list (10 most intense, 15° ≤ 2θ ≤ 90°, by angle)
- (1 0 -1), d 5.484, I 60
- (1 1 0), d 4.441, I 66
- (0 2 0), d 4.265, I 100
- (1 0 -2), d 4.234, I 42
- (1 -1 1), d 4.055, I 58
- (0 2 -2), d 3.393, I 54
- (1 -1 2), d 3.141, I 45
- (1 2 -2), d 3.058, I 59
- (2 -1 0), d 2.708, I 65
- (2 0 1), d 2.473, I 43

Diffraction record for CeSbPt5. The X-ray powder pattern is theoretical, not measured: it uses a structure optimized by DFT (PBE) and a wavelength of 1.5418 Å.
Peak positions follow from Bragg's law for the DFT cell and can differ from measured ones.

Structure:
```
data_CeSbPt5
_chemical_formula_sum 'Ce6 Sb6 Pt30'
_cell_length_a 5.3898
_cell_length_b 5.3898
_cell_length_c 31.4289
_cell_angle_alpha 90.00
_cell_angle_beta 90.00
_cell_angle_gamma 120.00
_symmetry_space_group_name_H-M 'R -3'
_symmetry_Int_Tables_number 148
_symmetry_space_group_name_Hall '-R 3'
loop_
_atom_site_label
_atom_site_type_symbol
_atom_site_fract_x
_atom_site_fract_y
_atom_site_fract_z
Ce1 Ce 0.0000 0.0000 0.0000
Ce2 Ce 0.0000 0.0000 0.5000
Sb1 Sb 0.0000 0.0000 0.1054
Pt1 Pt 0.0000 0.0000 0.1860
Pt2 Pt 0.0000 0.0000 0.3338
Pt3 Pt 0.0020 0.4514 0.0735
```

Peak list (10 most intense, 15° ≤ 2θ ≤ 90°, by angle)
- (1 1 0), d 2.695, I 37
- (0 0 12), d 2.619, I 35
- (1 1 3), d 2.609, I 36
- (2 -1 6), d 2.396, I 100
- (0 2 1), d 2.327, I 36
- (1 0 13), d 2.147, I 28
- (1 1 9), d 2.133, I 30
- (0 2 7), d 2.071, I 42
- (2 0 8), d 2.007, I 22
- (2 2 0), d 1.347, I 24

Diffraction record for Er4C2Se. The X-ray powder pattern is theoretical, not measured: it uses a structure optimized by DFT (PBE) and a wavelength of 1.5418 Å.
Peak positions follow from Bragg's law for the DFT cell and can differ from measured ones.

Structure:
```
data_Er4C2Se
_chemical_formula_sum 'Er12 C6 Se3'
_cell_length_a 3.6577
_cell_length_b 3.6577
_cell_length_c 38.1231
_cell_angle_alpha 90.00
_cell_angle_beta 90.00
_cell_angle_gamma 120.00
_symmetry_space_group_name_H-M 'R -3 m'
_symmetry_Int_Tables_number 166
_symmetry_space_group_name_Hall '-R 3 2"'
loop_
_atom_site_label
_atom_site_type_symbol
_atom_site_fract_x
_atom_site_fract_y
_atom_site_fract_z
Er1 Er 0.0000 0.0000 0.1196
Er2 Er 0.0000 0.0000 0.2827
C1 C 0.0000 0.0000 0.4203
Se1 Se 0.0000 0.0000 0.0000
```

Peak list (10 most intense, 15° ≤ 2θ ≤ 90°, by angle)
- (0 0 12), d 3.177, I 29
- (1 0 1), d 3.157, I 22
- (0 1 5), d 2.925, I 68
- (1 0 7), d 2.738, I 100
- (0 1 8), d 2.638, I 32
- (1 0 10), d 2.436, I 25
- (1 0 13), d 2.152, I 22
- (1 1 0), d 1.829, I 73
- (1 1 12), d 1.585, I 24
- (1 1 18), d 1.384, I 19

Diffraction record for PaSbI2F6. The X-ray powder pattern is theoretical, not measured: it uses a structure optimized by DFT (PBE) and a wavelength of 1.5418 Å.
Peak positions follow from Bragg's law for the DFT cell and can differ from measured ones.

Structure:
```
data_PaSbI2F6
_chemical_formula_sum 'Pa1 Sb1 I2 F6'
_cell_length_a 4.7360
_cell_length_b 6.7581
_cell_length_c 8.3552
_cell_angle_alpha 108.52
_cell_angle_beta 91.95
_cell_angle_gamma 105.85
_symmetry_space_group_name_H-M 'P -1'
_symmetry_Int_Tables_number 2
_symmetry_space_group_name_Hall '-P 1'
loop_
_atom_site_label
_atom_site_type_symbol
_atom_site_fract_x
_atom_site_fract_y
_atom_site_fract_z
Pa1 Pa 0.0000 0.0000 0.0000
Sb1 Sb 0.0000 0.5000 0.5000
I1 I 0.4187 0.2766 0.6094
F1 F 0.0674 0.7703 0.7529
F2 F 0.0926 0.8194 0.1412
F3 F 0.4333 0.2000 0.0507
```

Peak list (10 most intense, 15° ≤ 2θ ≤ 90°, by angle)
- (0 1 -1), d 5.892, I 55
- (0 1 1), d 4.184, I 100
- (1 -1 1), d 3.970, I 69
- (0 0 2), d 3.927, I 43
- (1 0 1), d 3.708, I 29
- (1 1 -1), d 3.295, I 62
- (1 0 -2), d 3.179, I 25
- (1 -2 0), d 2.979, I 33
- (1 -2 2), d 2.714, I 52
- (2 0 0), d 2.257, I 35

Diffraction record for Na8B11C5. The X-ray powder pattern is theoretical, not measured: it uses a structure optimized by DFT (PBE) and a wavelength of 1.5418 Å.
Peak positions follow from Bragg's law for the DFT cell and can differ from measured ones.

Structure:
```
data_Na8B11C5
_chemical_formula_sum 'Na16 B22 C10'
_cell_length_a 17.8227
_cell_length_b 2.8433
_cell_length_c 10.2043
_cell_angle_alpha 90.00
_cell_angle_beta 106.66
_cell_angle_gamma 90.00
_symmetry_space_group_name_H-M 'C 1 m 1'
_symmetry_Int_Tables_number 8
_symmetry_space_group_name_Hall 'C -2y'
loop_
_atom_site_label
_atom_site_type_symbol
_atom_site_fract_x
_atom_site_fract_y
_atom_site_fract_z
Na1 Na 0.0000 0.0000 0.0000
Na2 Na 0.9996 0.5000 0.2483
Na3 Na 0.0002 0.5000 0.7494
Na4 Na 0.0006 0.0000 0.4991
Na5 Na 0.2478 0.5000 0.8731
Na6 Na 0.2498 0.0000 0.1242
Na7 Na 0.2504 0.0000 0.6248
Na8 Na 0.2502 0.5000 0.3738
B1 B 0.1243 0.5000 0.4599
B2 B 0.1245 0.0000 0.2274
B3 B 0.1252 0.0000 0.7287
B4 B 0.1249 0.0000 0.8995
B5 B 0.1255 0.5000 0.6344
B6 B 0.1249 0.5000 0.9960
B7 B 0.3744 0.0000 0.5072
B8 B 0.3741 0.5000 0.6052
B9 B 0.3753 0.0000 0.0276
B10 B 0.3750 0.5000 0.2677
B11 B 0.3748 0.5000 0.7869
C1 C 0.1235 0.0000 0.3867
C2 C 0.1249 0.5000 0.1526
C3 C 0.3747 0.0000 0.3451
C4 C 0.3751 0.0000 0.8621
C5 C 0.3758 0.5000 0.1040
```

Peak list (10 most intense, 15° ≤ 2θ ≤ 90°, by angle)
- (2 0 -4), d 2.551, I 10
- (1 1 -2), d 2.484, I 18
- (6 0 -4), d 2.190, I 53
- (3 1 2), d 2.147, I 100
- (8 0 0), d 2.134, I 38
- (9 1 -2), d 1.619, I 10
- (3 1 -6), d 1.460, I 18
- (11 1 2), d 1.235, I 13
- (11 1 -6), d 1.205, I 17
- (6 2 -4), d 1.192, I 11

Diffraction record for Li3SnB5O10. The X-ray powder pattern is theoretical, not measured: it uses a structure optimized by DFT (PBE) and a wavelength of 1.5418 Å.
Peak positions follow from Bragg's law for the DFT cell and can differ from measured ones.

Structure:
```
data_Li3SnB5O10
_chemical_formula_sum 'Li6 Sn2 B10 O20'
_cell_length_a 6.9232
_cell_length_b 6.9954
_cell_length_c 9.5999
_cell_angle_alpha 86.55
_cell_angle_beta 89.03
_cell_angle_gamma 76.53
_symmetry_space_group_name_H-M 'P -1'
_symmetry_Int_Tables_number 2
_symmetry_space_group_name_Hall '-P 1'
loop_
_atom_site_label
_atom_site_type_symbol
_atom_site_fract_x
_atom_site_fract_y
_atom_site_fract_z
Li1 Li 0.0077 0.2222 0.4536
Li2 Li 0.0803 0.6408 0.2733
Li3 Li 0.2682 0.9802 0.7503
Sn1 Sn 0.2708 0.5470 0.8654
B1 B 0.1480 0.2170 0.1776
B2 B 0.2330 0.9205 0.0507
B3 B 0.2992 0.8990 0.3026
B4 B 0.3526 0.2287 0.6001
B5 B 0.3674 0.7183 0.5375
O1 O 0.0459 0.4102 0.1758
O2 O 0.1576 0.2408 0.6218
O3 O 0.1823 0.1055 0.3026
O4 O 0.2109 0.1251 0.0539
O5 O 0.2334 0.8441 0.9243
O6 O 0.2390 0.7886 0.4253
O7 O 0.2473 0.8079 0.1759
O8 O 0.2772 0.7080 0.6636
O9 O 0.4281 0.3187 0.4830
O10 O 0.4870 0.1093 0.6943
```

Peak list (10 most intense, 15° ≤ 2θ ≤ 90°, by angle)
- (0 1 1), d 5.699, I 41
- (1 0 1), d 5.515, I 58
- (1 1 1), d 4.845, I 42
- (1 1 -1), d 4.646, I 100
- (1 0 -2), d 3.902, I 39
- (1 1 -2), d 3.516, I 41
- (2 0 0), d 3.366, I 82
- (0 2 1), d 3.260, I 99
- (2 0 1), d 3.179, I 46
- (1 2 2), d 2.830, I 77